# 1
For MgSbO3, the PBE geometry in the Materials Project gives the simulated X-ray powder pattern in this record (copper Kα).

Top 6 peaks for 5° ≤ 2θ ≤ 70°, low angle first:
2θ/deg, I (rel.)
22.01, 576
22.84, 1000
31.83, 812
32.03, 821
32.30, 384
32.75, 360

Atomic structure:
```
MgSbO3
1.0
5.470 0.000 0.000
0.000 5.543 0.000
-5.402 0.000 8.078
Mg Sb O
4 4 12
Direct
0.234 0.033 0.245
0.234 0.467 0.745
0.766 0.533 0.255
0.766 0.967 0.755
0.000 0.000 0.500
0.000 0.500 0.000
0.500 0.000 0.000
0.500 0.500 0.500
0.135 0.105 0.772
0.135 0.395 0.272
0.247 0.654 0.565
0.247 0.846 0.065
0.441 0.187 0.584
0.441 0.313 0.084
0.559 0.687 0.916
0.559 0.813 0.416
0.753 0.154 0.935
0.753 0.346 0.435
0.865 0.605 0.728
0.865 0.895 0.228
```

---

# 2
For SrMgSb2O6, the PBE geometry in the Materials Project gives the simulated X-ray powder pattern in this record (copper Kα).

Top 6 peaks for 5° ≤ 2θ ≤ 70°, low angle first:
2θ/deg, I (rel.)
24.43, 1000
31.34, 650
40.13, 257
46.32, 690
51.78, 260
55.78, 211

Atomic structure:
```
SrMgSb2O6
1.0
2.857 -4.940 0.000
2.857 4.940 0.000
-0.003 0.000 5.392
Sr Mg Sb O
1 1 2 6
Direct
0.000 0.000 0.000
0.334 0.666 0.000
0.333 0.667 0.500
0.666 0.334 0.500
0.045 0.647 0.267
0.046 0.400 0.733
0.353 0.400 0.267
0.353 0.955 0.733
0.600 0.647 0.733
0.600 0.954 0.267
```

---

# 3
For SrMgSb2O6, the PBE geometry in the Materials Project gives the simulated X-ray powder pattern in this record (copper Kα).

Top 6 peaks for 5° ≤ 2θ ≤ 70°, low angle first:
2θ/deg, I (rel.)
14.61, 796
23.58, 1000
32.17, 635
35.50, 328
40.28, 253
44.18, 859

Atomic structure:
```
SrMgSb2O6
1.0
5.564 0.000 0.000
-2.782 4.819 0.000
0.000 0.000 6.064
Sr Mg Sb O
1 1 2 6
Direct
0.000 0.000 0.000
0.000 0.000 0.500
0.333 0.667 0.500
0.667 0.333 0.500
0.000 0.326 0.318
0.000 0.674 0.682
0.326 0.000 0.318
0.326 0.326 0.682
0.674 0.000 0.682
0.674 0.674 0.318
```

---

# 4
For Sr2YMgSbO6, the PBE geometry in the Materials Project gives the simulated X-ray powder pattern in this record (copper Kα).

Top 6 peaks for 5° ≤ 2θ ≤ 70°, low angle first:
2θ/deg, I (rel.)
27.53, 1000
28.58, 464
29.32, 434
31.38, 271
41.40, 599
42.74, 247

Atomic structure:
```
Sr2YMgSbO6
1.0
-3.046 3.124 4.839
3.046 -3.124 4.839
3.046 3.124 -4.839
Sr Y Mg Sb O
2 1 1 1 6
Direct
0.182 0.182 0.000
0.818 0.818 0.000
0.500 0.000 0.500
0.500 0.500 0.000
0.000 0.500 0.500
0.252 0.752 0.500
0.262 0.262 0.524
0.262 0.738 0.000
0.738 0.262 0.000
0.738 0.738 0.476
0.748 0.248 0.500
```